Computed X-ray powder pattern
Compound: SbS5
Radiation: CuKα
Structure: DFT lattice parameters and positions (PBE)
Intensities are scaled so that the largest is 100.

Peak list (8 most intense, 15° ≤ 2θ ≤ 90°, low angle first)
16.98 deg, rel. 71, (0 1 0); 19.30 deg, rel. 89, (0 1 -1); 24.27 deg, rel. 46, (-1 1 1); 24.72 deg, rel. 100, (1 0 1); 29.29 deg, rel. 71, (1 0 -2); 33.96 deg, rel. 36, (1 0 2); 34.35 deg, rel. 59, (0 2 0); 50.03 deg, rel. 35, (1 2 1)

Structure:
```
data_SbS5
_chemical_formula_sum 'Sb1 S5'
_space_group_name_H-M_alt 'P 1'
_space_group_IT_number 1
_cell_length_a 4.8539
_cell_length_b 5.6232
_cell_length_c 7.3586
_cell_angle_alpha 96.77
_cell_angle_beta 95.58
_cell_angle_gamma 109.79
loop_
_space_group_symop_operation_xyz
'x,y,z'
loop_
_atom_site_label
_atom_site_type_symbol
_atom_site_fract_x
_atom_site_fract_y
_atom_site_fract_z
_atom_site_occupancy
Sb1 Sb 0.0000 0.0000 0.0000 1
S1 S 0.2677 0.9932 0.7235 1
S2 S 0.5141 0.7732 0.7633 1
S3 S 0.5285 0.1194 0.2316 1
S4 S 0.7668 0.4940 0.2636 1
S5 S 0.9899 0.5468 0.0328 1
```